The following is a calculated PXRD pattern of Na2HfNbSi2PO12. It was derived from a DFT-relaxed cell (PBE, the Materials Project), using Cu Kα.

```
data_Na2HfNbSi2PO12
_chemical_formula_sum 'Na8 Hf4 Nb4 Si8 P4 O48'
_space_group_name_H-M_alt 'C 1 c 1'
_space_group_IT_number 9
_space_group_name_Hall 'C -2yc'
_cell_length_a 15.551
_cell_length_b 9.015
_cell_length_c 9.210
_cell_angle_alpha 90.00
_cell_angle_beta 124.11
_cell_angle_gamma 90.00
loop_
_atom_site_label
_atom_site_type_symbol
_atom_site_fract_x
_atom_site_fract_y
_atom_site_fract_z
Na1 Na 0.000 0.062 0.000
Na2 Na 0.072 0.260 0.744
Hf1 Hf 0.419 0.249 0.809
Nb1 Nb 0.214 0.250 0.187
Si1 Si 0.172 0.104 0.497
Si2 Si 0.316 0.460 0.001
P1 P 0.462 0.106 0.500
O1 O 0.055 0.313 0.014
O2 O 0.070 0.172 0.481
O3 O 0.167 0.078 0.018
O4 O 0.172 0.136 0.320
O5 O 0.236 0.357 0.020
O6 O 0.249 0.426 0.331
O7 O 0.275 0.174 0.665
O8 O 0.364 0.179 0.336
O9 O 0.392 0.439 0.673
O10 O 0.395 0.359 0.978
O11 O 0.463 0.136 0.662
O12 O 0.468 0.061 0.977
```

Main lines, most intense first (15 to 90 degrees two-theta):
19.74°, I 100
19.25°, I 86
30.71°, I 56
27.71°, I 45
34.50°, I 27
22.95°, I 26
30.79°, I 24
46.93°, I 19
53.87°, I 18
34.21°, I 18

The following is a calculated PXRD pattern of Hf2Pd. It was derived from a DFT-relaxed cell (PBE, the Materials Project), using Cu Kα.

```
data_Hf2Pd
_chemical_formula_sum 'Hf4 Pd2'
_space_group_name_H-M_alt 'I 4/m m m'
_space_group_IT_number 139
_space_group_name_Hall '-I 4 2'
_cell_length_a 3.297
_cell_length_b 3.297
_cell_length_c 10.793
_cell_angle_alpha 90.00
_cell_angle_beta 90.00
_cell_angle_gamma 90.00
loop_
_atom_site_label
_atom_site_type_symbol
_atom_site_fract_x
_atom_site_fract_y
_atom_site_fract_z
Hf1 Hf 0.000 0.000 0.158
Pd1 Pd 0.000 0.000 0.500
```

Main lines, most intense first (15 to 90 degrees two-theta):
36.98°, I 100
38.62°, I 45
68.81°, I 33
65.54°, I 18
55.76°, I 16
78.73°, I 11
50.75°, I 10
86.32°, I 8
28.30°, I 7
82.80°, I 5